Diffraction record for BaVO3. The X-ray powder pattern is theoretical, not measured: it uses the PBE+U geometry in Alexandria and copper Kα.
Intensities are scaled so that the largest is 100.

Largest 10 diffraction maxima, in order of rising 2θ, 10° ≤ 2θ ≤ 80°:
(hkl), 2θ/deg, I (rel.)
1 0 2, 23.36, 30
0 1 3, 28.97, 77
1 1 0, 30.96, 100
0 1 4, 35.46, 18
0 2 2, 39.15, 27
2 0 3, 42.91, 50
1 0 6, 50.06, 17
1 2 3, 53.85, 25
3 0 0, 55.08, 19
2 2 0, 64.53, 20

Cell and atoms:
a b c (Å): 5.7762 5.7762 11.7392
angles (deg): 90.00 90.00 120.00
Space group P-3m1 (No. 164)
One atom of each set of equivalent atoms:
Ba1 0.0000 0.0000 0.0000 [1 per cell]
Ba2 0.3333 0.6667 0.4062 [2 per cell]
Ba3 0.3333 0.6667 0.7903 [2 per cell]
V1 0.0000 0.0000 0.2769 [2 per cell]
V2 0.0000 0.0000 0.5000 [1 per cell]
V3 0.3333 0.6667 0.0922 [2 per cell]
O1 0.0000 0.5000 0.0000 [3 per cell]
O2 0.1501 0.3003 0.6004 [6 per cell]
O3 0.1666 0.3332 0.2002 [6 per cell]